Record 1
Computed powder diffraction line list of Mn3ZnF8 for copper Kα, from a PBE+U-relaxed structure.

Cell and atoms:
```
Mn3ZnF8
1.0
2.8427 -5.0751 0.0000
2.8427 5.0751 0.0000
0.0000 0.0000 6.3267
Mn Zn F
3 1 8
Direct
0.0000 0.0000 0.0000
0.0000 0.5000 0.7468
0.5000 0.0000 0.2532
0.0000 0.0000 0.5000
0.1989 0.2711 0.7424
0.2071 0.7929 0.5000
0.2129 0.7871 0.0000
0.2711 0.1989 0.2576
0.7289 0.8011 0.2576
0.7871 0.2129 0.0000
0.7929 0.2071 0.5000
0.8011 0.7289 0.7424
```

Top 12 peaks for 2θ from 5° to 70°, by angle:
- 17.88 deg, 4.960 Å, intensity 100.0
- 22.78 deg, 3.904 Å, intensity 81.2
- 33.60 deg, 2.667 Å, intensity 32.9
- 35.37 deg, 2.538 Å, intensity 39.5
- 42.77 deg, 2.114 Å, intensity 63.0
- 46.81 deg, 1.941 Å, intensity 10.4
- 47.56 deg, 1.912 Å, intensity 12.1
- 49.83 deg, 1.830 Å, intensity 16.3
- 56.22 deg, 1.636 Å, intensity 13.0
- 56.67 deg, 1.624 Å, intensity 34.4
- 57.40 deg, 1.605 Å, intensity 9.0
- 58.34 deg, 1.582 Å, intensity 10.9

---

Record 2
Computed powder diffraction line list of MnZn3F8 for copper Kα, from a PBE+U-relaxed structure.

Cell and atoms:
```
MnZn3F8
1.0
6.5617 -2.0176 0.0000
6.5617 2.0176 0.0000
-1.9219 0.0000 6.6349
Mn Zn F
1 3 8
Direct
0.0000 0.0000 0.0000
0.1006 0.1006 0.5856
0.2979 0.2979 0.9900
0.3960 0.3960 0.5714
0.0732 0.0732 0.2975
0.1379 0.1379 0.8996
0.2642 0.2642 0.6679
0.3337 0.3337 0.2837
0.4587 0.4587 0.9350
0.5573 0.5573 0.5897
0.8324 0.8324 0.9883
0.9344 0.9344 0.6393
```

Top 12 peaks for 2θ from 5° to 70°, by angle:
- 13.34 deg, 6.635 Å, intensity 46.8
- 14.05 deg, 6.303 Å, intensity 26.0
- 23.14 deg, 3.843 Å, intensity 100.0
- 26.87 deg, 3.317 Å, intensity 49.0
- 27.77 deg, 3.213 Å, intensity 43.9
- 30.72 deg, 2.910 Å, intensity 18.5
- 31.09 deg, 2.877 Å, intensity 27.3
- 40.80 deg, 2.212 Å, intensity 29.6
- 41.31 deg, 2.185 Å, intensity 29.1
- 44.93 deg, 2.018 Å, intensity 38.7
- 53.93 deg, 1.700 Å, intensity 29.6
- 58.50 deg, 1.578 Å, intensity 14.5

---

Record 3
Computed powder diffraction line list of MnZnF4 for copper Kα, from a PBE+U-relaxed structure.

Cell and atoms:
```
MnZnF4
1.0
5.3510 0.0000 0.0000
0.0000 4.8866 0.0000
0.0000 0.0000 5.8546
Mn Zn F
2 2 8
Direct
0.0000 0.0000 0.0000
0.0000 0.5000 0.5000
0.5000 0.0000 0.3299
0.5000 0.5000 0.8299
0.1772 0.2194 0.2803
0.1772 0.2806 0.7803
0.3370 0.7361 0.5562
0.3370 0.7639 0.0562
0.6630 0.2361 0.0562
0.6630 0.2639 0.5562
0.8228 0.7194 0.7803
0.8228 0.7806 0.2803
```

Top 12 peaks for 2θ from 5° to 70°, by angle:
- 23.72 deg, 3.752 Å, intensity 42.0
- 29.07 deg, 3.072 Å, intensity 100.0
- 34.94 deg, 2.568 Å, intensity 14.9
- 39.65 deg, 2.273 Å, intensity 16.3
- 41.45 deg, 2.178 Å, intensity 12.4
- 50.35 deg, 1.812 Å, intensity 15.8
- 50.59 deg, 1.804 Å, intensity 23.9
- 51.64 deg, 1.770 Å, intensity 34.7
- 57.18 deg, 1.611 Å, intensity 16.1
- 60.81 deg, 1.523 Å, intensity 15.5
- 61.59 deg, 1.506 Å, intensity 13.1
- 61.83 deg, 1.501 Å, intensity 14.3

---

Record 4
Computed powder diffraction line list of Zr3MnF6 for copper Kα, from a PBE+U-relaxed structure.

Cell and atoms:
```
Zr3MnF6
1.0
6.1172 0.0000 0.0000
2.6911 5.5077 0.0000
2.0060 2.2255 6.0229
Zr Mn F
3 1 6
Direct
0.0000 0.0000 0.0000
0.0000 0.5000 0.0000
0.5000 0.0000 0.0000
0.5000 0.0000 0.5000
0.1315 0.0869 0.6606
0.3213 0.2922 0.1752
0.4679 0.7872 0.3404
0.5321 0.2128 0.6596
0.6787 0.7078 0.8248
0.8685 0.9131 0.3394
```

Top 12 peaks for 2θ from 5° to 70°, by angle:
- 14.71 deg, 6.023 Å, intensity 100.0
- 17.16 deg, 5.166 Å, intensity 62.2
- 18.94 deg, 4.686 Å, intensity 44.2
- 20.45 deg, 4.343 Å, intensity 21.7
- 23.46 deg, 3.791 Å, intensity 22.9
- 29.65 deg, 3.013 Å, intensity 48.0
- 32.63 deg, 2.744 Å, intensity 31.8
- 32.90 deg, 2.723 Å, intensity 42.0
- 34.25 deg, 2.618 Å, intensity 22.8
- 34.73 deg, 2.583 Å, intensity 24.6
- 37.14 deg, 2.421 Å, intensity 53.1
- 41.59 deg, 2.171 Å, intensity 19.9

---

Record 5
Computed powder diffraction line list of Zr3MnF6 for copper Kα, from a PBE+U-relaxed structure.

Cell and atoms:
```
Zr3MnF6
1.0
5.4528 -3.1603 0.0000
5.4528 3.1603 0.0000
-3.6396 0.0000 6.7540
Zr Mn F
3 1 6
Direct
0.0000 0.0000 0.0000
0.0000 0.5000 0.0000
0.5000 0.0000 0.0000
0.0000 0.0000 0.5000
0.0864 0.6267 0.3007
0.0874 0.0874 0.3008
0.3733 0.9136 0.6993
0.6267 0.0864 0.3007
0.9126 0.9126 0.6992
0.9136 0.3733 0.6993
```

Top 12 peaks for 2θ from 5° to 70°, by angle:
- 13.11 deg, 6.754 Å, intensity 52.6
- 16.81 deg, 5.275 Å, intensity 100.0
- 26.39 deg, 3.377 Å, intensity 16.8
- 31.30 deg, 2.858 Å, intensity 21.7
- 33.06 deg, 2.710 Å, intensity 33.2
- 33.16 deg, 2.702 Å, intensity 16.5
- 33.99 deg, 2.637 Å, intensity 63.1
- 37.37 deg, 2.406 Å, intensity 13.7
- 40.05 deg, 2.251 Å, intensity 9.7
- 49.05 deg, 1.857 Å, intensity 21.4
- 56.55 deg, 1.627 Å, intensity 19.2
- 58.59 deg, 1.576 Å, intensity 11.1

---

Record 6
Computed powder diffraction line list of ZrMn2F11 for copper Kα, from a PBE+U-relaxed structure.

Cell and atoms:
```
ZrMn2F11
1.0
-4.2271 4.2343 5.0439
4.2271 -4.2343 5.0439
4.2271 4.2343 -5.0439
Zr Mn F
2 4 22
Direct
0.2500 0.2500 0.0000
0.7500 0.7500 0.0000
0.1648 0.6647 0.8296
0.3352 0.1647 0.4999
0.6648 0.8353 0.5001
0.8352 0.3353 0.1704
0.0000 0.5000 0.5000
0.0704 0.9226 0.2681
0.0776 0.3456 0.1485
0.1546 0.4226 0.8522
0.1900 0.3107 0.5008
0.1971 0.9291 0.8515
0.3029 0.1544 0.7320
0.3100 0.8107 0.1207
0.3454 0.1977 0.2681
0.4224 0.5709 0.2680
0.4296 0.6977 0.8522
0.5000 0.0000 0.5000
0.5704 0.3023 0.1478
0.5776 0.4291 0.7320
0.6546 0.8023 0.7319
0.6900 0.1893 0.8793
0.6971 0.8456 0.2680
0.8029 0.0709 0.1485
0.8100 0.6893 0.4992
0.8454 0.5774 0.1478
0.9224 0.6544 0.8515
0.9296 0.0774 0.7319
```

Top 12 peaks for 2θ from 5° to 70°, by angle:
- 14.81 deg, 5.983 Å, intensity 35.2
- 23.06 deg, 3.856 Å, intensity 100.0
- 25.14 deg, 3.543 Å, intensity 47.8
- 27.52 deg, 3.241 Å, intensity 63.4
- 33.49 deg, 2.676 Å, intensity 15.6
- 46.56 deg, 1.951 Å, intensity 11.6
- 47.14 deg, 1.928 Å, intensity 37.9
- 48.09 deg, 1.892 Å, intensity 14.2
- 49.12 deg, 1.855 Å, intensity 30.6
- 49.68 deg, 1.835 Å, intensity 32.5
- 52.22 deg, 1.752 Å, intensity 13.0
- 58.56 deg, 1.576 Å, intensity 14.4

---

Record 7
Computed powder diffraction line list of MoF4 for copper Kα, from a PBE+U-relaxed structure.

Cell and atoms:
```
MoF4
1.0
2.8900 -2.9475 0.0000
2.8900 2.9475 0.0000
0.0000 0.0000 8.4930
Mo F
2 8
Direct
0.2459 0.7541 0.7500
0.7541 0.2459 0.2500
0.2451 0.2534 0.7500
0.2500 0.7500 0.5247
0.2500 0.7500 0.9753
0.2534 0.2451 0.2500
0.7466 0.7549 0.7500
0.7500 0.2500 0.0247
0.7500 0.2500 0.4753
0.7549 0.7466 0.2500
```

Top 12 peaks for 2θ from 5° to 70°, by angle:
- 20.92 deg, 4.246 Å, intensity 32.0
- 23.97 deg, 3.712 Å, intensity 100.0
- 30.32 deg, 2.947 Å, intensity 12.0
- 30.94 deg, 2.890 Å, intensity 11.4
- 38.56 deg, 2.335 Å, intensity 16.7
- 42.58 deg, 2.123 Å, intensity 13.4
- 43.87 deg, 2.064 Å, intensity 26.4
- 49.08 deg, 1.856 Å, intensity 12.4
- 50.20 deg, 1.817 Å, intensity 12.5
- 51.02 deg, 1.790 Å, intensity 11.9
- 58.79 deg, 1.571 Å, intensity 10.6
- 62.79 deg, 1.480 Å, intensity 14.5

---

Record 8
Computed powder diffraction line list of MoF5 for copper Kα, from a PBE+U-relaxed structure.

Cell and atoms:
```
MoF5
1.0
4.9972 -7.2953 0.0000
4.9972 7.2953 0.0000
-0.2530 0.0000 5.4768
Mo F
4 20
Direct
0.2032 0.7968 0.0000
0.2561 0.2561 0.7498
0.7439 0.7439 0.2502
0.7968 0.2032 0.0000
0.0252 0.2254 0.8750
0.0912 0.7196 0.7042
0.1408 0.1408 0.4741
0.1752 0.5913 0.1179
0.2254 0.0252 0.8750
0.2747 0.4610 0.6403
0.2804 0.9088 0.2958
0.3260 0.3260 0.0695
0.4087 0.8248 0.8821
0.4610 0.2747 0.6403
0.5390 0.7253 0.3597
0.5913 0.1752 0.1179
0.6740 0.6740 0.9305
0.7196 0.0912 0.7042
0.7253 0.5390 0.3597
0.7746 0.9748 0.1250
0.8248 0.4087 0.8821
0.8592 0.8592 0.5259
0.9088 0.2804 0.2958
0.9748 0.7746 0.1250
```

Top 12 peaks for 2θ from 5° to 70°, by angle:
- 16.18 deg, 5.477 Å, intensity 30.8
- 19.11 deg, 4.643 Å, intensity 20.0
- 19.80 deg, 4.483 Å, intensity 53.2
- 20.29 deg, 4.377 Å, intensity 48.6
- 21.57 deg, 4.120 Å, intensity 100.0
- 24.40 deg, 3.648 Å, intensity 14.7
- 25.82 deg, 3.451 Å, intensity 53.1
- 27.56 deg, 3.236 Å, intensity 13.2
- 38.21 deg, 2.355 Å, intensity 26.7
- 43.98 deg, 2.059 Å, intensity 52.8
- 59.16 deg, 1.562 Å, intensity 17.8
- 60.15 deg, 1.538 Å, intensity 13.5